1.
# Nd7Y2Tm3
Theoretical X-ray powder pattern, Cu Kα X-rays. Input: a cell relaxed with GGA-PBE.
Peak positions follow from Bragg's law for the DFT cell and can differ from measured ones.

The 12 most intense peaks (2θ from 5° to 70°), by intensity:
two_theta	d [Å]	I/Imax
30.8	2.901	100
31.0	2.880	67
30.6	2.924	60
31.8	2.814	39
28.1	3.172	29
33.1	2.709	27
34.1	2.632	25
50.3	1.813	19
30.1	2.965	19
60.0	1.541	18
53.9	1.701	17
60.3	1.534	16

Structure:
abc: 5.866 3.627 19.083
angles: 90.00 94.08 90.00
Element x y z (fractional)
Nd  0.000  0.000  0.000
Nd  0.174  0.500  0.184
Nd  0.259  0.500  0.534
Nd  0.330  0.000  0.856
Nd  0.670  0.000  0.144
Nd  0.741  0.500  0.466
Nd  0.826  0.500  0.816
Y  0.296  0.500  0.702
Y  0.704  0.500  0.298
Tm  0.217  0.000  0.369
Tm  0.500  0.500  0.000
Tm  0.783  0.000  0.631

=====

2.
# NdY5Tm4
Theoretical X-ray powder pattern, Cu Kα X-rays. Input: a cell relaxed with GGA-PBE.
Peak positions follow from Bragg's law for the DFT cell and can differ from measured ones.

The 12 most intense peaks (2θ from 5° to 70°), by intensity:
two_theta	d [Å]	I/Imax
31.5	2.839	100
30.8	2.905	87
33.0	2.712	46
33.4	2.686	43
47.6	1.909	32
62.1	1.495	26
34.4	2.605	19
58.9	1.568	18
58.0	1.589	17
41.4	2.179	15
57.6	1.601	15
63.0	1.475	14

Structure:
abc: 5.425 7.031 8.757
angles: 89.94 72.03 89.94
Element x y z (fractional)
Nd  0.000  0.000  0.000
Y  0.199  0.495  0.602
Y  0.388  0.745  0.224
Y  0.609  0.746  0.781
Y  0.798  0.999  0.404
Y  0.998  0.496  0.004
Tm  0.199  0.999  0.602
Tm  0.388  0.249  0.224
Tm  0.609  0.248  0.781
Tm  0.799  0.495  0.402

=====

3.
# Nd4Y3Tm2
Theoretical X-ray powder pattern, Cu Kα X-rays. Input: a cell relaxed with GGA-PBE.
Peak positions follow from Bragg's law for the DFT cell and can differ from measured ones.

The 12 most intense peaks (2θ from 5° to 70°), by intensity:
two_theta	d [Å]	I/Imax
31.5	2.837	100
31.0	2.880	84
44.8	2.021	28
40.7	2.217	28
61.6	1.507	21
25.0	3.555	19
55.8	1.647	18
56.2	1.637	11
30.5	2.930	11
61.6	1.506	10
51.4	1.778	9
18.1	4.914	9

Structure:
abc: 9.820 9.820 7.110
angles: 90.00 90.00 119.86
Element x y z (fractional)
Nd  0.021  0.677  0.000
Nd  0.321  0.349  0.000
Nd  0.323  0.979  0.500
Nd  0.349  0.321  0.500
Nd  0.651  0.679  0.500
Nd  0.677  0.021  0.500
Nd  0.679  0.651  0.000
Nd  0.979  0.323  0.000
Y  0.000  0.000  0.250
Y  0.000  0.000  0.750
Y  0.329  0.671  0.250
Y  0.329  0.671  0.750
Y  0.671  0.329  0.250
Y  0.671  0.329  0.750
Tm  0.023  0.346  0.500
Tm  0.346  0.023  0.000
Tm  0.654  0.977  0.000
Tm  0.977  0.654  0.500

=====

4.
# Nd4Y5Tm3
Theoretical X-ray powder pattern, Cu Kα X-rays. Input: a cell relaxed with GGA-PBE.
Peak positions follow from Bragg's law for the DFT cell and can differ from measured ones.

The 12 most intense peaks (2θ from 5° to 70°), by intensity:
two_theta	d [Å]	I/Imax
30.2	2.962	100
32.3	2.771	85
33.4	2.684	71
29.0	3.080	48
31.6	2.831	40
32.6	2.748	39
31.0	2.884	37
43.8	2.066	29
54.9	1.671	26
42.4	2.134	24
29.3	3.044	23
30.3	2.949	22

Structure:
abc: 8.636 8.636 9.404
angles: 115.08 115.08 40.12
Element x y z (fractional)
Nd  0.085  0.085  0.449
Nd  0.218  0.218  0.883
Nd  0.782  0.782  0.117
Nd  0.915  0.915  0.551
Y  0.000  0.000  0.000
Y  0.330  0.330  0.618
Y  0.429  0.429  0.294
Y  0.571  0.571  0.706
Y  0.670  0.670  0.382
Tm  0.213  0.213  0.237
Tm  0.500  0.500  0.000
Tm  0.787  0.787  0.763